[1]
# BaNdO3
Theoretical X-ray powder pattern, λ = 1.5418 Å (Cu Kα). Input: a DFT-relaxed cell (PBE, the Materials Project).
Intensities are scaled so that the largest is 100.

Most intense lines, 10° ≤ 2θ ≤ 80°, in order of rising 2θ:
2θ/deg	I/Imax	h k l
27.69	100	1 1 0
39.55	30	2 0 0
48.96	42	2 1 1
57.18	20	2 2 0
64.69	19	3 1 0
78.55	22	3 2 1

Cell and atoms:
a b c (Å): 4.557 4.557 4.557
angles (deg): 90.00 90.00 90.00
Element x y z (fractional)
Ba  0.000  0.000  0.000
Nd  0.500  0.500  0.500
O  0.000  0.500  0.500
O  0.500  0.000  0.500
O  0.500  0.500  0.000

[2]
# BaNd2O4
Theoretical X-ray powder pattern, λ = 1.5418 Å (Cu Kα). Input: a DFT-relaxed cell (PBE, the Materials Project).
Intensities are scaled so that the largest is 100.

Most intense lines, 10° ≤ 2θ ≤ 80°, in order of rising 2θ:
2θ/deg	I/Imax	h k l
28.32	48	0 0 4
28.67	100	3 0 2
29.57	71	1 1 2
29.68	32	2 1 0
41.48	38	2 1 4
50.96	27	6 0 0

Cell and atoms:
a b c (Å): 10.743 3.634 12.604
angles (deg): 90.00 90.00 90.00
Element x y z (fractional)
Ba  0.248  0.250  0.147
Ba  0.252  0.750  0.647
Ba  0.748  0.250  0.353
Ba  0.752  0.750  0.853
Nd  0.076  0.250  0.888
Nd  0.079  0.250  0.389
Nd  0.421  0.750  0.889
Nd  0.424  0.750  0.388
Nd  0.576  0.250  0.612
Nd  0.579  0.250  0.111
Nd  0.921  0.750  0.611
Nd  0.924  0.750  0.112
O  0.015  0.750  0.783
O  0.071  0.250  0.576
O  0.122  0.750  0.019
O  0.211  0.750  0.331
O  0.289  0.250  0.831
O  0.378  0.250  0.519
O  0.429  0.750  0.076
O  0.485  0.250  0.283
O  0.515  0.750  0.717
O  0.571  0.250  0.924
O  0.622  0.750  0.481
O  0.711  0.750  0.169
O  0.789  0.250  0.669
O  0.878  0.250  0.981
O  0.929  0.750  0.424
O  0.985  0.250  0.217